# 1
The following is a theoretical powder XRD pattern of Ac5Dy. It was derived from a cell relaxed with GGA-PBE, using Cu Kα (λ = 1.5418 Å).
Lines closer than 0.1° are merged.

Principal peaks in the range 10° ≤ 2θ ≤ 80°, by intensity:
2θ = 27.9°, I = 100.0
2θ = 32.3°, I = 34.4
2θ = 54.9°, I = 31.3
2θ = 46.3°, I = 25.7
2θ = 32.4°, I = 17.1
2θ = 55.0°, I = 15.8
2θ = 57.6°, I = 13.6
2θ = 46.4°, I = 12.9
2θ = 74.7°, I = 12.8
2θ = 76.8°, I = 8.8
2θ = 74.5°, I = 6.4
2θ = 77.1°, I = 6.0

Structure:
abc: 8.777 8.777 5.548
angles: 90.00 90.00 143.28
Element x y z (fractional)
Ac (0.000, 0.000, 0.000)
Ac (0.163, 0.837, 0.500)
Ac (0.336, 0.664, 0.000)
Ac (0.664, 0.336, 0.000)
Ac (0.837, 0.163, 0.500)
Dy (0.500, 0.500, 0.500)

# 2
The following is a theoretical powder XRD pattern of HfCu2Au5. It was derived from a cell relaxed with GGA-PBE, using Cu Kα (λ = 1.5418 Å).
Lines closer than 0.1° are merged.

Principal peaks in the range 10° ≤ 2θ ≤ 80°, by intensity:
2θ = 37.3°, I = 100.0
2θ = 40.9°, I = 85.4
2θ = 36.4°, I = 39.2
2θ = 29.7°, I = 19.9
2θ = 77.8°, I = 17.5
2θ = 65.5°, I = 14.1
2θ = 77.3°, I = 11.9
2θ = 59.8°, I = 11.0
2θ = 62.4°, I = 10.5
2θ = 64.8°, I = 10.3
2θ = 47.9°, I = 9.9
2θ = 59.2°, I = 9.9

Structure:
abc: 7.538 7.538 7.538
angles: 124.80 124.80 81.87
Element x y z (fractional)
Hf (0.250, 0.250, 0.000)
Hf (0.750, 0.750, 0.000)
Cu (0.141, 0.641, 0.781)
Cu (0.359, 0.141, 0.500)
Cu (0.641, 0.859, 0.500)
Cu (0.859, 0.359, 0.219)
Au (0.000, 0.000, 0.000)
Au (0.002, 0.810, 0.500)
Au (0.190, 0.690, 0.193)
Au (0.310, 0.502, 0.500)
Au (0.498, 0.998, 0.807)
Au (0.500, 0.500, 0.000)
Au (0.502, 0.002, 0.193)
Au (0.690, 0.498, 0.500)
Au (0.810, 0.310, 0.807)
Au (0.998, 0.190, 0.500)